[1]
For KAlBr4, the PBE geometry in the Materials Project gives the simulated powder XRD pattern in this record (λ = 1.5418 Å (Cu Kα)).
Peak positions follow from Bragg's law for the DFT cell and can differ from measured ones.

Top 6 peaks for 15° ≤ 2θ ≤ 90°, sorted by position:
two_theta	I (rel.)
15.69	44.3
27.42	78.6
27.62	100.0
27.94	48.8
30.55	64.6
47.11	41.8

Atomic structure:
a b c (Å): 9.1203 7.6367 13.4225
angles (deg): 90.00 105.56 90.00
Space group P2/c (No. 13)
Unique sites:
K: 0.0000 0.1064 0.2500
K: 0.5000 0.3571 0.7500
Al: 0.2840 0.2151 0.0442
Br: 0.1642 0.4198 0.1256
Br: 0.1996 0.2573 0.8652
Br: 0.2122 0.0636 0.5846
Br: 0.4570 0.2568 0.3990


[2]
For LaAl3Br12, the PBE geometry in the Materials Project gives the simulated powder XRD pattern in this record (λ = 1.5418 Å (Cu Kα)).
Peak positions follow from Bragg's law for the DFT cell and can differ from measured ones.

Top 6 peaks for 15° ≤ 2θ ≤ 90°, sorted by position:
two_theta	I (rel.)
25.72	71.5
26.72	67.9
26.98	76.4
30.25	100.0
31.55	67.4
34.66	66.1

Atomic structure:
a b c (Å): 10.7578 10.7578 19.1282
angles (deg): 90.00 90.00 120.00
Space group P3_121 (No. 152)
Unique sites:
La: 0.0000 0.7294 0.1667
Al: 0.0000 0.0999 0.6667
Al: 0.3028 0.6316 0.2204
Br: 0.0292 0.2350 0.7673
Br: 0.0750 0.1964 0.3636
Br: 0.0836 0.5848 0.2773
Br: 0.1389 0.7164 0.8493
Br: 0.2257 0.7210 0.6218
Br: 0.2338 0.5243 0.4570


[3]
For LiAl2BrO6, the PBE geometry in the Materials Project gives the simulated powder XRD pattern in this record (λ = 1.5418 Å (Cu Kα)).
Peak positions follow from Bragg's law for the DFT cell and can differ from measured ones.

Top 6 peaks for 15° ≤ 2θ ≤ 90°, sorted by position:
two_theta	I (rel.)
24.95	100.0
31.65	18.0
36.71	19.1
47.45	24.9
52.47	20.6
56.37	11.6

Atomic structure:
a b c (Å): 5.6532 5.6532 10.4266
angles (deg): 90.00 90.00 120.00
Space group P6_3/mcm (No. 193)
Unique sites:
Li: 0.0000 0.0000 0.0000
Al: 0.3333 0.6667 0.0000
Br: 0.0000 0.0000 0.2500
O: 0.0000 0.4160 0.0693


[4]
For LiAl2BrO6, the PBE geometry in the Materials Project gives the simulated powder XRD pattern in this record (λ = 1.5418 Å (Cu Kα)).
Peak positions follow from Bragg's law for the DFT cell and can differ from measured ones.

Top 6 peaks for 15° ≤ 2θ ≤ 90°, sorted by position:
two_theta	I (rel.)
25.09	100.0
25.22	52.2
31.78	17.8
36.62	18.2
47.94	25.5
56.25	13.1

Atomic structure:
a b c (Å): 9.7243 5.6843 10.2748
angles (deg): 90.00 90.00 90.00
Space group Cmcm (No. 63)
Unique sites:
Li: 0.0000 0.0000 0.0000
Al: 0.1727 0.5000 0.0000
Br: 0.0000 0.0295 0.2500
O: 0.0000 0.4273 0.5686
O: 0.2057 0.2055 0.0721


[5]
For Al2Br7N, the PBE geometry in the Materials Project gives the simulated powder XRD pattern in this record (λ = 1.5418 Å (Cu Kα)).
Peak positions follow from Bragg's law for the DFT cell and can differ from measured ones.

Top 6 peaks for 15° ≤ 2θ ≤ 90°, sorted by position:
two_theta	I (rel.)
24.03	16.4
26.79	100.0
27.16	17.5
27.31	18.9
27.71	23.6
27.97	11.1

Atomic structure:
a b c (Å): 13.0802 10.1741 11.9080
angles (deg): 90.00 90.00 90.00
Space group Pna2_1 (No. 33)
Unique sites:
Al: 0.1169 0.1207 0.0000
Al: 0.1785 0.5665 0.2585
Br: 0.0152 0.2906 0.0621
Br: 0.0257 0.6605 0.2056
Br: 0.0313 0.9721 0.8891
Br: 0.1601 0.3765 0.3612
Br: 0.2017 0.0207 0.1461
Br: 0.2131 0.0464 0.6074
Br: 0.2455 0.2326 0.8838
N: 0.1222 0.6402 0.8458


[6]
For AlSeBr3N, the PBE geometry in the Materials Project gives the simulated powder XRD pattern in this record (λ = 1.5418 Å (Cu Kα)).
Peak positions follow from Bragg's law for the DFT cell and can differ from measured ones.

Top 6 peaks for 15° ≤ 2θ ≤ 90°, sorted by position:
two_theta	I (rel.)
24.33	100.0
24.63	66.2
26.13	38.7
26.34	78.3
27.15	55.8
27.64	41.4

Atomic structure:
a b c (Å): 7.6847 10.8578 10.3554
angles (deg): 90.00 113.13 90.00
Space group P2_1/c (No. 14)
Unique sites:
Al: 0.2297 0.1254 0.3475
Se: 0.1515 0.5318 0.1225
Br: 0.0528 0.6598 0.3475
Br: 0.3742 0.1944 0.9440
Br: 0.4129 0.5192 0.7931
N: 0.1065 0.0459 0.4543


[7]
For NaAlBr4, the PBE geometry in the Materials Project gives the simulated powder XRD pattern in this record (λ = 1.5418 Å (Cu Kα)).
Peak positions follow from Bragg's law for the DFT cell and can differ from measured ones.

Top 6 peaks for 15° ≤ 2θ ≤ 90°, sorted by position:
two_theta	I (rel.)
26.31	100.0
26.72	38.3
27.48	53.0
28.80	33.8
35.39	32.1
46.28	29.4

Atomic structure:
a b c (Å): 14.3302 7.6967 7.6620
angles (deg): 90.00 90.00 90.00
Space group Pnma (No. 62)
Unique sites:
Na: 0.1509 0.2500 0.0515
Al: 0.1014 0.7500 0.7970
Br: 0.0312 0.2500 0.3733
Br: 0.0571 0.7500 0.0885
Br: 0.1954 0.5073 0.7362